Starting from DFT lattice parameters and positions (PBE), the powder diffraction line list of TlZn3Cl9 was calculated for λ = 1.5418 Å (Cu Kα).
Kinematic intensities with the Lorentz-polarization factor, no thermal factor.

Most intense lines, 5 to 70 degrees two-theta, sorted by position:
| h k l | Position (°2θ) | intensity |
| --- | --- | --- |
| 1 1 -1 | 12.21 | 40 |
| 2 0 -2 | 14.14 | 16 |
| 1 1 1 | 17.18 | 100 |
| 3 1 -1 | 18.45 | 18 |
| 3 1 -2 | 19.11 | 26 |
| 3 1 -3 | 23.54 | 28 |
| 2 2 0 | 23.88 | 19 |
| 0 2 2 | 27.02 | 19 |
| 2 2 -3 | 29.51 | 18 |
| 7 3 -3 | 47.56 | 20 |

Cell: 17.5246 8.8843 12.6198 Å, 90.00 128.62 90.00°
Space group Cc (No. 9)
Symmetry-distinct sites (fractional):
Tl  0.0000  0.2278  0.0000 [4 per cell]
Zn  0.1360  0.1190  0.8244 [4 per cell]
Zn  0.2323  0.4359  0.7176 [4 per cell]
Zn  0.3622  0.0740  0.6682 [4 per cell]
Cl  0.0049  0.0810  0.8195 [4 per cell]
Cl  0.1128  0.3499  0.7265 [4 per cell]
Cl  0.1416  0.0542  0.1940 [4 per cell]
Cl  0.1553  0.3758  0.0576 [4 per cell]
Cl  0.2503  0.2627  0.5978 [4 per cell]
Cl  0.2958  0.1246  0.0201 [4 per cell]
Cl  0.3604  0.4744  0.4276 [4 per cell]
Cl  0.4006  0.0282  0.3664 [4 per cell]
Cl  0.4939  0.1806  0.6987 [4 per cell]


Starting from DFT lattice parameters and positions (PBE), the powder diffraction line list of TlZnCl3 was calculated for λ = 1.5418 Å (Cu Kα).
Kinematic intensities with the Lorentz-polarization factor, no thermal factor.

Most intense lines, 5 to 70 degrees two-theta, sorted by position:
| h k l | Position (°2θ) | intensity |
| --- | --- | --- |
| 3 1 1 | 22.58 | 15 |
| 2 2 2 | 23.60 | 100 |
| 4 0 0 | 27.31 | 25 |
| 3 3 1 | 29.82 | 22 |
| 5 1 1 | 35.72 | 16 |
| 4 4 0 | 39.01 | 58 |
| 6 2 2 | 46.10 | 51 |
| 4 4 4 | 48.27 | 12 |
| 6 6 2 | 61.93 | 21 |
| 8 4 0 | 63.73 | 18 |

Cell: 13.0618 13.0618 13.0618 Å, 90.00 90.00 90.00°
Space group Fd-3m (No. 227, origin choice 2)
Symmetry-distinct sites (fractional):
Tl  0.0000  0.0000  0.0000 [16 per cell]
Zn  0.0000  0.0000  0.5000 [16 per cell]
Cl  0.0729  0.3750  0.8750 [48 per cell]


Starting from DFT lattice parameters and positions (PBE), the powder diffraction line list of Zr3TlCl was calculated for λ = 1.5418 Å (Cu Kα).
Kinematic intensities with the Lorentz-polarization factor, no thermal factor.

Most intense lines, 5 to 70 degrees two-theta, sorted by position:
| h k l | Position (°2θ) | intensity |
| --- | --- | --- |
| 1 0 0 | 18.36 | 6 |
| 1 1 0 | 26.08 | 26 |
| 1 1 1 | 32.09 | 100 |
| 2 0 0 | 37.22 | 68 |
| 2 1 0 | 41.80 | 4 |
| 2 1 1 | 46.01 | 11 |
| 2 2 0 | 53.65 | 46 |
| 3 1 0 | 60.60 | 5 |
| 3 1 1 | 63.90 | 41 |
| 2 2 2 | 67.11 | 15 |

Cell: 4.8317 4.8317 4.8317 Å, 90.00 90.00 90.00°
Space group Pm-3m (No. 221)
Symmetry-distinct sites (fractional):
Zr  0.0000  0.0000  0.5000 [3 per cell]
Tl  0.5000  0.5000  0.5000 [1 per cell]
Cl  0.0000  0.0000  0.0000 [1 per cell]


Copy entry 1 word for word.
Starting from DFT lattice parameters and positions (PBE), the powder diffraction line list of TlZn3Cl9 was calculated for λ = 1.5418 Å (Cu Kα).
Kinematic intensities with the Lorentz-polarization factor, no thermal factor.

Most intense lines, 5 to 70 degrees two-theta, sorted by position:
| h k l | Position (°2θ) | intensity |
| --- | --- | --- |
| 1 1 -1 | 12.21 | 40 |
| 2 0 -2 | 14.14 | 16 |
| 1 1 1 | 17.18 | 100 |
| 3 1 -1 | 18.45 | 18 |
| 3 1 -2 | 19.11 | 26 |
| 3 1 -3 | 23.54 | 28 |
| 2 2 0 | 23.88 | 19 |
| 0 2 2 | 27.02 | 19 |
| 2 2 -3 | 29.51 | 18 |
| 7 3 -3 | 47.56 | 20 |

Cell: 17.5246 8.8843 12.6198 Å, 90.00 128.62 90.00°
Space group Cc (No. 9)
Symmetry-distinct sites (fractional):
Tl  0.0000  0.2278  0.0000 [4 per cell]
Zn  0.1360  0.1190  0.8244 [4 per cell]
Zn  0.2323  0.4359  0.7176 [4 per cell]
Zn  0.3622  0.0740  0.6682 [4 per cell]
Cl  0.0049  0.0810  0.8195 [4 per cell]
Cl  0.1128  0.3499  0.7265 [4 per cell]
Cl  0.1416  0.0542  0.1940 [4 per cell]
Cl  0.1553  0.3758  0.0576 [4 per cell]
Cl  0.2503  0.2627  0.5978 [4 per cell]
Cl  0.2958  0.1246  0.0201 [4 per cell]
Cl  0.3604  0.4744  0.4276 [4 per cell]
Cl  0.4006  0.0282  0.3664 [4 per cell]
Cl  0.4939  0.1806  0.6987 [4 per cell]